Record 1
Starting from a cell relaxed with PBE, the X-ray diffraction stick pattern of Th4NpO10 was calculated for λ = 1.5418 Å (Cu Kα).
No peak broadening, texture or thermal motion is included.

Largest 10 diffraction maxima, in order of falling intensity, 10° ≤ 2θ ≤ 80°:
Position (°2θ), intensity
27.69, 100.0
46.00, 49.9
54.54, 47.5
32.08, 37.0
76.31, 14.5
74.10, 9.8
74.00, 9.6
57.21, 8.1
67.09, 7.9
57.10, 2.6

Cell and atoms:
```
Th4NpO10
1.0
1.972 1.138 16.131
-1.972 1.138 16.131
0.000 -2.277 16.131
Th Np O
4 1 10
Direct
0.101 0.101 0.101
0.300 0.300 0.300
0.700 0.700 0.700
0.899 0.899 0.899
0.500 0.500 0.500
0.051 0.051 0.051
0.151 0.151 0.151
0.249 0.249 0.249
0.350 0.350 0.350
0.452 0.452 0.452
0.548 0.548 0.548
0.650 0.650 0.650
0.751 0.751 0.751
0.849 0.849 0.849
0.949 0.949 0.949
```

***

Record 2
Starting from a cell relaxed with PBE, the X-ray diffraction stick pattern of LaBe2H was calculated for λ = 1.5418 Å (Cu Kα).
No peak broadening, texture or thermal motion is included.

Largest 10 diffraction maxima, in order of falling intensity, 10° ≤ 2θ ≤ 80°:
Position (°2θ), intensity
33.64, 100.0
20.42, 94.9
39.67, 68.8
60.20, 24.5
52.97, 23.4
64.28, 16.6
60.09, 12.3
74.55, 11.2
48.37, 10.0
70.69, 8.9

Cell and atoms:
```
LaBe2H
1.0
5.322 0.000 0.000
0.000 5.322 0.000
0.000 0.000 7.551
La Be H
4 8 4
Direct
0.000 0.250 0.375
0.000 0.750 0.625
0.500 0.250 0.125
0.500 0.750 0.875
0.000 0.000 0.000
0.000 0.500 0.000
0.250 0.250 0.750
0.250 0.750 0.250
0.500 0.000 0.500
0.500 0.500 0.500
0.750 0.250 0.750
0.750 0.750 0.250
0.000 0.250 0.875
0.000 0.750 0.125
0.500 0.250 0.625
0.500 0.750 0.375
```